1.
NaCoPO4: calculated X-ray powder pattern (copper Kα), based on a structure optimized by DFT (PBE+U).
Peak positions follow from Bragg's law for the DFT cell and can differ from measured ones.

Most intense lines, 10 to 90 degrees two-theta, in order of falling intensity:
| Position (°2θ) | I/Imax |
| --- | --- |
| 31.2 | 100 |
| 11.9 | 83 |
| 35.4 | 62 |
| 31.6 | 55 |
| 32.1 | 46 |
| 27.9 | 40 |
| 33.3 | 40 |
| 18.2 | 36 |
| 36.2 | 35 |
| 39.9 | 21 |

Atomic structure:
```
NaCoPO4
1.0
5.8613 0.0000 0.0000
0.0000 11.1479 0.0000
-0.4924 0.0000 10.0222
Na Co P O
8 8 8 32
direct
0.1206 0.1535 0.3689 Na
0.1206 0.3465 0.8689 Na
0.3747 0.6320 0.1246 Na
0.3747 0.8680 0.6246 Na
0.6253 0.1320 0.3754 Na
0.6253 0.3680 0.8754 Na
0.8794 0.6535 0.1311 Na
0.8794 0.8465 0.6311 Na
0.1524 0.6219 0.5007 Co
0.1524 0.8781 0.0007 Co
0.3898 0.1045 0.7662 Co
0.3898 0.3955 0.2662 Co
0.6102 0.6045 0.7338 Co
0.6102 0.8955 0.2338 Co
0.8476 0.1219 0.9993 Co
0.8476 0.3781 0.4993 Co
0.1244 0.6150 0.8280 P
0.1244 0.8850 0.3280 P
0.3753 0.1367 0.0860 P
0.3753 0.3633 0.5860 P
0.6247 0.6367 0.4140 P
0.6247 0.8633 0.9140 P
0.8756 0.1150 0.6720 P
0.8756 0.3850 0.1720 P
0.0924 0.0330 0.6739 O
0.0924 0.4670 0.1739 O
0.1178 0.7018 0.9490 O
0.1178 0.7982 0.4490 O
0.1354 0.6867 0.6947 O
0.1354 0.8133 0.1947 O
0.1574 0.0568 0.0757 O
0.1574 0.4432 0.5757 O
0.3448 0.5353 0.8466 O
0.3448 0.9647 0.3466 O
0.3488 0.2287 0.1979 O
0.3488 0.2713 0.6979 O
0.4056 0.5604 0.3765 O
0.4056 0.9396 0.8765 O
0.4118 0.1971 0.9488 O
0.4118 0.3029 0.4488 O
0.5882 0.6971 0.5512 O
0.5882 0.8029 0.0512 O
0.5944 0.0604 0.1235 O
0.5944 0.4396 0.6235 O
0.6512 0.7287 0.3021 O
0.6512 0.7713 0.8021 O
0.6552 0.0353 0.6534 O
0.6552 0.4647 0.1534 O
0.8426 0.5568 0.4243 O
0.8426 0.9432 0.9243 O
0.8646 0.1867 0.8053 O
0.8646 0.3133 0.3053 O
0.8822 0.2018 0.5510 O
0.8822 0.2982 0.0510 O
0.9076 0.5330 0.8261 O
0.9076 0.9670 0.3261 O
```


2.
NaCoPO4: calculated X-ray powder pattern (copper Kα), based on a structure optimized by DFT (PBE+U).
Peak positions follow from Bragg's law for the DFT cell and can differ from measured ones.

Most intense lines, 10 to 90 degrees two-theta, in order of falling intensity:
| Position (°2θ) | I/Imax |
| --- | --- |
| 34.8 | 100 |
| 24.3 | 47 |
| 31.6 | 38 |
| 49.9 | 33 |
| 28.4 | 27 |
| 19.7 | 15 |
| 54.5 | 15 |
| 55.5 | 14 |
| 17.2 | 13 |
| 22.3 | 13 |

Atomic structure:
```
NaCoPO4
1.0
10.2922 0.0000 0.0000
0.0000 6.2791 0.0000
0.0000 0.0000 5.0049
Na Co P O
4 4 4 16
direct
0.0000 0.0000 0.0000 Na
0.0000 0.5000 0.0000 Na
0.5000 0.0000 0.5000 Na
0.5000 0.5000 0.5000 Na
0.2194 0.2500 0.4903 Co
0.2806 0.7500 0.9903 Co
0.7194 0.2500 0.0097 Co
0.7806 0.7500 0.5097 Co
0.1062 0.7500 0.4335 P
0.3938 0.2500 0.9335 P
0.6062 0.7500 0.0665 P
0.8938 0.2500 0.5665 P
0.0382 0.2500 0.6624 O
0.1139 0.7500 0.7413 O
0.1756 0.5539 0.2990 O
0.1756 0.9461 0.2990 O
0.3244 0.0539 0.7990 O
0.3244 0.4461 0.7990 O
0.3861 0.2500 0.2413 O
0.4618 0.7500 0.1624 O
0.5382 0.2500 0.8376 O
0.6139 0.7500 0.7587 O
0.6756 0.5539 0.2010 O
0.6756 0.9461 0.2010 O
0.8244 0.0539 0.7010 O
0.8244 0.4461 0.7010 O
0.8861 0.2500 0.2587 O
0.9618 0.7500 0.3376 O
```


3.
Rb2Na4Co2O5: calculated X-ray powder pattern (copper Kα), based on a structure optimized by DFT (PBE+U).
Peak positions follow from Bragg's law for the DFT cell and can differ from measured ones.

Most intense lines, 10 to 90 degrees two-theta, in order of falling intensity:
| Position (°2θ) | I/Imax |
| --- | --- |
| 32.4 | 100 |
| 35.3 | 48 |
| 17.1 | 43 |
| 39.0 | 42 |
| 27.3 | 31 |
| 34.7 | 29 |
| 61.2 | 24 |
| 53.2 | 23 |
| 30.6 | 22 |
| 46.9 | 21 |

Atomic structure:
```
Rb2Na4Co2O5
1.0
6.5268 0.0000 0.0000
0.0000 6.5268 0.0000
0.0000 0.0000 10.3460
Rb Na Co O
4 8 4 10
direct
0.1964 0.1964 0.0000 Rb
0.3036 0.6964 0.5000 Rb
0.6964 0.3036 0.5000 Rb
0.8036 0.8036 0.0000 Rb
0.0000 0.0000 0.2775 Na
0.0000 0.0000 0.7225 Na
0.0000 0.5000 0.2500 Na
0.0000 0.5000 0.7500 Na
0.5000 0.0000 0.2500 Na
0.5000 0.0000 0.7500 Na
0.5000 0.5000 0.2225 Na
0.5000 0.5000 0.7775 Na
0.2100 0.2100 0.5000 Co
0.2900 0.7100 0.0000 Co
0.7100 0.2900 0.0000 Co
0.7900 0.7900 0.5000 Co
0.0000 0.0000 0.5000 O
0.2184 0.7816 0.1643 O
0.2184 0.7816 0.8357 O
0.2816 0.2816 0.3357 O
0.2816 0.2816 0.6643 O
0.5000 0.5000 0.0000 O
0.7184 0.7184 0.3357 O
0.7184 0.7184 0.6643 O
0.7816 0.2184 0.1643 O
0.7816 0.2184 0.8357 O
```


4.
Na2CoS2O12: calculated X-ray powder pattern (copper Kα), based on a structure optimized by DFT (PBE+U).
Peak positions follow from Bragg's law for the DFT cell and can differ from measured ones.

Most intense lines, 10 to 90 degrees two-theta, in order of falling intensity:
| Position (°2θ) | I/Imax |
| --- | --- |
| 28.1 | 100 |
| 27.8 | 74 |
| 19.6 | 61 |
| 20.2 | 58 |
| 19.9 | 51 |
| 13.8 | 45 |
| 20.1 | 39 |
| 26.6 | 36 |
| 23.2 | 31 |
| 34.3 | 25 |

Atomic structure:
```
Na2CoS2O12
1.0
5.5484 0.0000 0.0000
0.0000 7.8631 0.0000
-2.5082 0.0000 11.0888
Na Co S O
4 2 4 24
direct
0.1019 0.0604 0.3560 Na
0.1019 0.4396 0.8560 Na
0.8981 0.5604 0.1440 Na
0.8981 0.9396 0.6440 Na
0.0000 0.0000 0.0000 Co
0.0000 0.5000 0.5000 Co
0.3717 0.2259 0.6344 S
0.3717 0.2741 0.1344 S
0.6283 0.7259 0.8656 S
0.6283 0.7741 0.3656 S
0.0783 0.5182 0.3591 O
0.0783 0.9818 0.8591 O
0.1235 0.6852 0.5764 O
0.1235 0.8148 0.0764 O
0.2033 0.0932 0.5708 O
0.2033 0.4068 0.0708 O
0.3221 0.2441 0.2549 O
0.3221 0.2559 0.7549 O
0.3306 0.1087 0.0603 O
0.3306 0.3913 0.5603 O
0.3697 0.6810 0.8597 O
0.3697 0.8190 0.3597 O
0.6303 0.1810 0.6403 O
0.6303 0.3190 0.1403 O
0.6694 0.6087 0.4397 O
0.6694 0.8913 0.9397 O
0.6779 0.7441 0.2451 O
0.6779 0.7559 0.7451 O
0.7967 0.5932 0.9292 O
0.7967 0.9068 0.4292 O
0.8765 0.1852 0.9236 O
0.8765 0.3148 0.4236 O
0.9217 0.0182 0.1409 O
0.9217 0.4818 0.6409 O
```


5.
Na2CoSi4O10: calculated X-ray powder pattern (copper Kα), based on a structure optimized by DFT (PBE+U).
Peak positions follow from Bragg's law for the DFT cell and can differ from measured ones.

Most intense lines, 10 to 90 degrees two-theta, in order of falling intensity:
| Position (°2θ) | I/Imax |
| --- | --- |
| 13.2 | 100 |
| 27.9 | 89 |
| 29.8 | 88 |
| 22.3 | 75 |
| 26.5 | 50 |
| 34.3 | 47 |
| 23.2 | 46 |
| 14.7 | 44 |
| 37.9 | 44 |
| 19.5 | 41 |

Atomic structure:
```
Na2CoSi4O10
1.0
7.0159 0.0000 0.0000
-3.3078 7.1465 0.0000
-2.0972 -3.2681 9.0882
Na Co Si O
4 2 8 20
direct
0.1563 0.2680 0.4841 Na
0.2382 0.7753 0.9215 Na
0.7618 0.2247 0.0785 Na
0.8437 0.7320 0.5159 Na
0.2550 0.1924 0.0812 Co
0.7450 0.8076 0.9188 Co
0.1123 0.8718 0.2414 Si
0.2654 0.5723 0.3021 Si
0.3104 0.1191 0.7480 Si
0.4097 0.7874 0.6379 Si
0.5903 0.2126 0.3621 Si
0.6896 0.8809 0.2520 Si
0.7346 0.4277 0.6979 Si
0.8877 0.1282 0.7586 Si
0.0734 0.9020 0.0840 O
0.0740 0.1218 0.6823 O
0.1049 0.6577 0.2305 O
0.1553 0.3392 0.2195 O
0.2533 0.8979 0.6403 O
0.2854 0.6039 0.4778 O
0.3484 0.0531 0.3675 O
0.3860 0.1452 0.9184 O
0.4363 0.7091 0.7728 O
0.4813 0.2919 0.6976 O
0.5187 0.7081 0.3024 O
0.5637 0.2909 0.2272 O
0.6140 0.8548 0.0816 O
0.6516 0.9469 0.6325 O
0.7146 0.3961 0.5222 O
0.7467 0.1021 0.3597 O
0.8447 0.6608 0.7805 O
0.8951 0.3422 0.7695 O
0.9260 0.8782 0.3177 O
0.9266 0.0980 0.9160 O
```


6.
Nb2CoO6: calculated X-ray powder pattern (copper Kα), based on a structure optimized by DFT (PBE+U).
Peak positions follow from Bragg's law for the DFT cell and can differ from measured ones.

Most intense lines, 10 to 90 degrees two-theta, in order of falling intensity:
| Position (°2θ) | I/Imax |
| --- | --- |
| 34.4 | 100 |
| 26.0 | 78 |
| 26.4 | 71 |
| 51.5 | 49 |
| 37.4 | 25 |
| 52.0 | 22 |
| 51.8 | 21 |
| 65.5 | 14 |
| 53.5 | 13 |
| 54.3 | 12 |

Atomic structure:
```
Nb2CoO6
1.0
5.7233 0.0000 0.0000
-0.6875 7.8426 0.0000
-1.8042 -2.5563 9.6192
Nb Co O
8 4 24
direct
0.0000 0.0000 0.0000 Nb
0.1558 0.1756 0.4902 Nb
0.2500 0.7495 0.2498 Nb
0.3444 0.3240 0.0098 Nb
0.5000 0.5000 0.5000 Nb
0.6556 0.6760 0.9902 Nb
0.7500 0.2505 0.7502 Nb
0.8442 0.8244 0.5098 Nb
0.0858 0.5822 0.7517 Co
0.4137 0.9166 0.7481 Co
0.5863 0.0834 0.2519 Co
0.9142 0.4178 0.2483 Co
0.0722 0.3721 0.8501 O
0.0735 0.2599 0.0977 O
0.0805 0.7849 0.6485 O
0.0971 0.9028 0.4028 O
0.2352 0.4309 0.5931 O
0.2410 0.9421 0.1499 O
0.2595 0.5585 0.3507 O
0.2642 0.0697 0.9070 O
0.4028 0.5973 0.0972 O
0.4199 0.7155 0.8517 O
0.4256 0.2405 0.4024 O
0.4277 0.1284 0.6502 O
0.5723 0.8716 0.3498 O
0.5744 0.7595 0.5976 O
0.5801 0.2845 0.1483 O
0.5972 0.4027 0.9028 O
0.7358 0.9303 0.0930 O
0.7405 0.4415 0.6493 O
0.7590 0.0579 0.8501 O
0.7648 0.5691 0.4069 O
0.9029 0.0972 0.5972 O
0.9195 0.2151 0.3515 O
0.9265 0.7401 0.9023 O
0.9278 0.6279 0.1499 O
```


7.
Nb2CoO6: calculated X-ray powder pattern (copper Kα), based on a structure optimized by DFT (PBE+U).
Peak positions follow from Bragg's law for the DFT cell and can differ from measured ones.

Most intense lines, 10 to 90 degrees two-theta, in order of falling intensity:
| Position (°2θ) | I/Imax |
| --- | --- |
| 29.9 | 100 |
| 24.1 | 36 |
| 63.2 | 24 |
| 52.7 | 23 |
| 52.5 | 17 |
| 35.5 | 15 |
| 50.7 | 15 |
| 59.9 | 14 |
| 35.2 | 14 |
| 30.7 | 9 |

Atomic structure:
```
Nb2CoO6
1.0
14.3300 0.0000 0.0000
0.0000 5.8321 0.0000
0.0000 0.0000 5.0980
Nb Co O
8 4 24
direct
0.1597 0.1816 0.2442 Nb
0.1597 0.8184 0.7442 Nb
0.3403 0.3184 0.7442 Nb
0.3403 0.6816 0.2442 Nb
0.6597 0.3184 0.7558 Nb
0.6597 0.6816 0.2558 Nb
0.8403 0.1816 0.2558 Nb
0.8403 0.8184 0.7558 Nb
0.0000 0.3441 0.7500 Co
0.0000 0.6559 0.2500 Co
0.5000 0.1559 0.2500 Co
0.5000 0.8441 0.7500 Co
0.0783 0.3805 0.4073 O
0.0783 0.6195 0.9073 O
0.0956 0.1073 0.9191 O
0.0956 0.8927 0.4191 O
0.2448 0.1241 0.5735 O
0.2448 0.8759 0.0735 O
0.2552 0.3759 0.0735 O
0.2552 0.6241 0.5735 O
0.4044 0.3927 0.4191 O
0.4044 0.6073 0.9191 O
0.4217 0.1195 0.9073 O
0.4217 0.8805 0.4073 O
0.5783 0.1195 0.5927 O
0.5783 0.8805 0.0927 O
0.5956 0.3927 0.0809 O
0.5956 0.6073 0.5809 O
0.7448 0.3759 0.4265 O
0.7448 0.6241 0.9265 O
0.7552 0.1241 0.9265 O
0.7552 0.8759 0.4265 O
0.9044 0.1073 0.5809 O
0.9044 0.8927 0.0809 O
0.9217 0.3805 0.0927 O
0.9217 0.6195 0.5927 O
```


8.
NbCoO4: calculated X-ray powder pattern (copper Kα), based on a structure optimized by DFT (PBE+U).
Peak positions follow from Bragg's law for the DFT cell and can differ from measured ones.

Most intense lines, 10 to 90 degrees two-theta, in order of falling intensity:
| Position (°2θ) | I/Imax |
| --- | --- |
| 24.4 | 100 |
| 32.8 | 54 |
| 28.6 | 49 |
| 14.2 | 35 |
| 57.9 | 35 |
| 23.9 | 34 |
| 47.3 | 32 |
| 29.6 | 32 |
| 36.1 | 31 |
| 44.3 | 23 |

Atomic structure:
```
NbCoO4
1.0
6.1289 -1.9203 0.0000
6.1289 1.9203 0.0000
-2.0119 0.0000 6.2351
Nb Co O
2 2 8
direct
0.1048 0.1048 0.2380 Nb
0.8952 0.8952 0.7620 Nb
0.2041 0.2041 0.8281 Co
0.7959 0.7959 0.1719 Co
0.0570 0.0570 0.8638 O
0.1416 0.1416 0.5276 O
0.2628 0.2628 0.1373 O
0.3559 0.3559 0.7984 O
0.6441 0.6441 0.2016 O
0.7372 0.7372 0.8627 O
0.8584 0.8584 0.4724 O
0.9430 0.9430 0.1362 O
```